No. 1
Starting from a PBE-relaxed structure, the powder XRD pattern of NdTm2CdPd4 was computed for Cu Kα (weighted mean of Kα1 and Kα2).
Lines closer than 0.1° are merged.

```
data_NdTm2CdPd4
_chemical_formula_sum 'Nd3 Tm6 Cd3 Pd12'
_symmetry_space_group_name_H-M 'R -3 m'
_symmetry_Int_Tables_number 166
_symmetry_space_group_name_Hall '-R 3 2"'
_cell_length_a 4.8857
_cell_length_b 4.8857
_cell_length_c 24.0359
_cell_angle_alpha 90.00
_cell_angle_beta 90.00
_cell_angle_gamma 120.00
loop_
_atom_site_label
_atom_site_type_symbol
_atom_site_fract_x
_atom_site_fract_y
_atom_site_fract_z
Nd1 Nd 0.0000 0.0000 0.0000
Tm1 Tm 0.0000 0.0000 0.2422
Cd1 Cd 0.0000 0.0000 0.5000
Pd1 Pd 0.0000 0.0000 0.1229
Pd2 Pd 0.0000 0.0000 0.3792
```

Most intense lines, 2θ from 10° to 80°, most intense first:
2θ (°), I (rel.)
36.79, 100
36.69, 95
66.22, 51
52.93, 33
65.99, 14
78.27, 11
78.01, 8
25.75, 6
28.09, 3
22.23, 2


No. 2
Starting from a PBE-relaxed structure, the powder XRD pattern of Pm3Pr2Nd3 was computed for Cu Kα (weighted mean of Kα1 and Kα2).
Lines closer than 0.1° are merged.

```
data_Pm3Pr2Nd3
_chemical_formula_sum 'Pm6 Pr4 Nd6'
_symmetry_space_group_name_H-M 'P m m n'
_symmetry_Int_Tables_number 59
_cell_length_a 5.967
_cell_length_b 14.827
_cell_length_c 6.418
_cell_angle_alpha 90.00
_cell_angle_beta 90.00
_cell_angle_gamma 90.00
loop_
_symmetry_equiv_pos_as_xyz
'x,y,z'
'-x,-y,-z'
'-x+1/2,-y+1/2,z'
'x+1/2,y+1/2,-z'
'x+1/2,-y,-z'
'-x+1/2,y,z'
'-x,y+1/2,-z'
'x,-y+1/2,z'
loop_
_atom_site_label
_atom_site_type_symbol
_atom_site_fract_x
_atom_site_fract_y
_atom_site_fract_z
Pm1 Pm 0.250 0.126 0.165
Pm2 Pm 0.250 0.750 0.668
Pr1 Pr 0.250 0.625 0.166
Nd1 Nd 0.250 0.000 0.666
Nd2 Nd 0.250 0.250 0.663
```

Most intense lines, 2θ from 10° to 80°, most intense first:
2θ (°), I (rel.)
31.65, 100
29.95, 26
27.80, 23
58.65, 23
54.25, 22
49.17, 19
59.66, 16
41.31, 16
76.23, 8
66.11, 4


No. 3
Starting from a PBE-relaxed structure, the powder XRD pattern of Pa3ReSi7 was computed for Cu Kα (weighted mean of Kα1 and Kα2).
Lines closer than 0.1° are merged.

```
data_Pa3ReSi7
_chemical_formula_sum 'Pa12 Re4 Si28'
_symmetry_space_group_name_H-M 'C m c m'
_symmetry_Int_Tables_number 63
_symmetry_space_group_name_Hall '-C 2c 2'
_cell_length_a 3.982
_cell_length_b 18.941
_cell_length_c 10.552
_cell_angle_alpha 90.00
_cell_angle_beta 90.00
_cell_angle_gamma 90.00
loop_
_atom_site_label
_atom_site_type_symbol
_atom_site_fract_x
_atom_site_fract_y
_atom_site_fract_z
Pa1 Pa 0.000 0.112 0.055
Pa2 Pa 0.000 0.229 0.750
Re1 Re 0.000 0.055 0.750
Si1 Si 0.000 0.272 0.038
Si2 Si 0.000 0.377 0.141
Si3 Si 0.000 0.380 0.750
Si4 Si 0.000 0.497 0.622
```

Most intense lines, 2θ from 10° to 80°, most intense first:
2θ (°), I (rel.)
34.35, 100
36.93, 75
25.27, 64
22.82, 63
27.04, 60
33.74, 49
29.54, 39
52.13, 37
43.95, 35
45.57, 35


No. 4
Starting from a PBE-relaxed structure, the powder XRD pattern of Ag2Te6Se was computed for Cu Kα (weighted mean of Kα1 and Kα2).
Lines closer than 0.1° are merged.

```
data_Ag2Te6Se
_chemical_formula_sum 'Ag8 Te24 Se4'
_symmetry_space_group_name_H-M 'C 1 2/c 1'
_symmetry_Int_Tables_number 15
_cell_length_a 11.263
_cell_length_b 13.825
_cell_length_c 8.101
_cell_angle_alpha 90.00
_cell_angle_beta 112.23
_cell_angle_gamma 90.00
loop_
_symmetry_equiv_pos_as_xyz
'x,y,z'
'-x,-y,-z'
'-x,y,-z+1/2'
'x,-y,z+1/2'
'x+1/2,y+1/2,z'
'-x+1/2,-y+1/2,-z'
'-x+1/2,y+1/2,-z+1/2'
'x+1/2,-y+1/2,z+1/2'
loop_
_atom_site_label
_atom_site_type_symbol
_atom_site_fract_x
_atom_site_fract_y
_atom_site_fract_z
Ag1 Ag 0.181 0.079 0.230
Te1 Te 0.046 0.409 0.599
Te2 Te 0.100 0.092 0.528
Te3 Te 0.235 0.288 0.200
Se1 Se 0.000 0.327 0.250
```

Most intense lines, 2θ from 10° to 80°, most intense first:
2θ (°), I (rel.)
23.40, 100
28.43, 80
26.45, 54
25.78, 54
37.82, 43
41.34, 38
35.89, 38
40.70, 35
32.89, 33
46.07, 27


No. 5
Starting from a PBE-relaxed structure, the powder XRD pattern of Ho2Mg3Sc2 was computed for Cu Kα (weighted mean of Kα1 and Kα2).
Lines closer than 0.1° are merged.

```
data_Ho2Mg3Sc2
_chemical_formula_sum 'Ho2 Mg3 Sc2'
_symmetry_space_group_name_H-M 'P -1'
_symmetry_Int_Tables_number 2
_cell_length_a 3.383
_cell_length_b 7.697
_cell_length_c 8.202
_cell_angle_alpha 62.72
_cell_angle_beta 78.63
_cell_angle_gamma 77.66
loop_
_symmetry_equiv_pos_as_xyz
'x,y,z'
'-x,-y,-z'
loop_
_atom_site_label
_atom_site_type_symbol
_atom_site_fract_x
_atom_site_fract_y
_atom_site_fract_z
Ho1 Ho 0.138 0.047 0.177
Mg1 Mg 0.186 0.380 0.724
Mg2 Mg 0.500 0.500 0.000
Sc1 Sc 0.434 0.220 0.433
```

Most intense lines, 2θ from 10° to 80°, most intense first:
2θ (°), I (rel.)
13.07, 100
33.58, 50
33.74, 31
36.63, 29
27.14, 29
34.73, 24
34.53, 23
32.09, 22
33.32, 21
31.17, 21


No. 6
Starting from a PBE-relaxed structure, the powder XRD pattern of KPtCl was computed for Cu Kα (weighted mean of Kα1 and Kα2).
Lines closer than 0.1° are merged.

```
data_KPtCl
_chemical_formula_sum 'K4 Pt4 Cl4'
_symmetry_space_group_name_H-M 'C 1 2/m 1'
_symmetry_Int_Tables_number 12
_cell_length_a 11.786
_cell_length_b 3.735
_cell_length_c 7.181
_cell_angle_alpha 90.00
_cell_angle_beta 98.25
_cell_angle_gamma 90.00
loop_
_symmetry_equiv_pos_as_xyz
'x,y,z'
'-x,-y,-z'
'-x,y,-z'
'x,-y,z'
'x+1/2,y+1/2,z'
'-x+1/2,-y+1/2,-z'
'-x+1/2,y+1/2,-z'
'x+1/2,-y+1/2,z'
loop_
_atom_site_label
_atom_site_type_symbol
_atom_site_fract_x
_atom_site_fract_y
_atom_site_fract_z
K1 K 0.094 0.000 0.286
Pt1 Pt 0.208 0.000 0.889
Cl1 Cl 0.127 0.500 0.674
```

Most intense lines, 2θ from 10° to 80°, most intense first:
2θ (°), I (rel.)
18.24, 100
15.19, 96
12.46, 92
36.84, 67
34.90, 56
36.52, 43
31.44, 41
28.55, 25
45.04, 25
36.97, 23


No. 7
Starting from a PBE-relaxed structure, the powder XRD pattern of TcHgCl was computed for Cu Kα (weighted mean of Kα1 and Kα2).
Lines closer than 0.1° are merged.

```
data_TcHgCl
_chemical_formula_sum 'Tc1 Hg1 Cl1'
_symmetry_space_group_name_H-M 'P 3 m 1'
_symmetry_Int_Tables_number 156
_cell_length_a 3.0757
_cell_length_b 3.0757
_cell_length_c 7.5255
_cell_angle_alpha 90.00
_cell_angle_beta 90.00
_cell_angle_gamma 120.00
loop_
_symmetry_equiv_pos_as_xyz
'x,y,z'
'-y,x-y,z'
'-x+y,-x,z'
'-y,-x,z'
'-x+y,y,z'
'x,x-y,z'
loop_
_atom_site_label
_atom_site_type_symbol
_atom_site_fract_x
_atom_site_fract_y
_atom_site_fract_z
Tc1 Tc 0.0000 0.0000 0.0000
Hg1 Hg 0.3333 0.6667 0.6908
Cl1 Cl 0.6667 0.3333 0.2140
```

Most intense lines, 2θ from 10° to 80°, most intense first:
2θ (°), I (rel.)
35.77, 100
11.76, 67
41.54, 54
72.04, 36
60.19, 28
49.94, 21
23.65, 18
33.65, 16
75.78, 11
61.55, 7